# KMnP3HO10
Computed X-ray powder pattern, Cu Ka. Input: a DFT-relaxed cell (PBE+U, Alexandria).
Intensities are scaled so that the largest is 100.

```
data_KMnP3HO10
_cell_length_a 7.3099
_cell_length_b 7.4418
_cell_length_c 9.4328
_cell_angle_alpha 71.88
_cell_angle_beta 73.15
_cell_angle_gamma 70.35
_symmetry_space_group_name_H-M 'P -1'
_symmetry_Int_Tables_number 2
loop_
_symmetry_equiv_pos_as_xyz
'x,y,z'
'-x,-y,-z'
loop_
_atom_site_label
_atom_site_type_symbol
_atom_site_fract_x
_atom_site_fract_y
_atom_site_fract_z
K1 K 0.0573 0.4548 0.2396
Mn1 Mn 0.0000 0.0000 0.0000
Mn2 Mn 0.5000 0.5000 0.5000
P1 P 0.2263 0.8687 0.2936
P2 P 0.3516 0.7010 0.7966
P3 P 0.3681 0.1073 0.7403
H1 H 0.0000 0.0000 0.5000
H2 H 0.5000 0.5000 0.0000
O1 O 0.1044 0.0334 0.3756
O2 O 0.1388 0.8595 0.1686
O3 O 0.1519 0.7377 0.9059
O4 O 0.2073 0.1302 0.8839
O5 O 0.2736 0.6629 0.3989
O6 O 0.3434 0.2730 0.6020
O7 O 0.3454 0.6007 0.6795
O8 O 0.3900 0.9123 0.6935
O9 O 0.4323 0.9276 0.2049
O10 O 0.4680 0.4000 0.1275
```

Most intense lines, 10 to 80 degrees two-theta, in order of falling intensity:
2theta  intensity  (hkl)
30.32  100  2 0 -1
15.81  84  1 1 0
20.63  75  1 1 2
14.83  70  1 0 1
31.92  56  2 2 0
20.25  56  0 0 2
29.01  53  -1 1 2
25.73  48  0 2 1
29.53  44  1 -1 2
14.46  42  0 1 1